[1]
TeMoWSe2S: simulated powder X-ray diffraction pattern (a wavelength of 1.5418 Å), based on a cell relaxed with PBE.
Neutral-atom scattering factors, no anomalous dispersion.

Largest 10 diffraction maxima, low angle first, 10° ≤ 2θ ≤ 90°:
2θ (°)	d/Å	Rel. int.
12.0	7.358	100
30.9	2.896	32
33.2	2.695	14
36.0	2.494	76
41.7	2.168	13
43.9	2.064	51
54.9	1.672	26
56.4	1.631	12
67.4	1.389	12
77.1	1.237	12

Cell and atoms:
abc: 3.3444 3.3444 29.4330
angles: 90.00 90.00 120.00
Fractional positions:
Te 0.0000 0.0000 0.0000
Te 0.0000 0.0000 0.1298
Mo 0.0000 0.0000 0.3206
Mo 0.3333 0.6667 0.5647
W 0.0000 0.0000 0.8069
W 0.3333 0.6667 0.0649
Se 0.3333 0.6667 0.2640
Se 0.3333 0.6667 0.3773
Se 0.3333 0.6667 0.7500
Se 0.3333 0.6667 0.8638
S 0.0000 0.0000 0.5132
S 0.0000 0.0000 0.6162


[2]
MoW3Se6S2: simulated powder X-ray diffraction pattern (a wavelength of 1.5418 Å), based on a cell relaxed with PBE.
Neutral-atom scattering factors, no anomalous dispersion.

Largest 10 diffraction maxima, low angle first, 10° ≤ 2θ ≤ 90°:
2θ (°)	d/Å	Rel. int.
12.4	7.137	100
31.4	2.849	25
33.9	2.646	14
36.1	2.487	33
37.5	2.401	36
44.0	2.057	31
45.9	1.977	21
55.9	1.645	20
57.5	1.603	12
79.2	1.209	12

Cell and atoms:
abc: 3.2900 3.2900 35.6873
angles: 90.00 90.00 120.00
Fractional positions:
Mo 0.0000 0.0000 0.0000
W 0.0000 0.0000 0.4023
W 0.6667 0.3333 0.1969
W 0.6667 0.3333 0.7999
Se 0.0000 0.0000 0.1494
Se 0.0000 0.0000 0.2444
Se 0.0000 0.0000 0.7524
Se 0.0000 0.0000 0.8474
Se 0.6667 0.3333 0.3548
Se 0.6667 0.3333 0.4498
S 0.6667 0.3333 0.0430
S 0.6667 0.3333 0.9570


[3]
MoWSe3S: simulated powder X-ray diffraction pattern (a wavelength of 1.5418 Å), based on a cell relaxed with PBE.
Neutral-atom scattering factors, no anomalous dispersion.

Largest 10 diffraction maxima, low angle first, 10° ≤ 2θ ≤ 90°:
2θ (°)	d/Å	Rel. int.
12.4	7.156	100
31.4	2.849	27
33.9	2.647	16
36.1	2.489	27
37.4	2.403	51
42.2	2.143	14
44.0	2.060	20
45.8	1.980	33
55.9	1.645	22
57.5	1.603	12

Cell and atoms:
abc: 3.2898 3.2898 35.7823
angles: 90.00 90.00 120.00
Fractional positions:
Mo 0.0000 0.0000 0.0000
Mo 0.0000 0.0000 0.3980
W 0.3333 0.6667 0.2041
W 0.3333 0.6667 0.5945
Se 0.0000 0.0000 0.1567
Se 0.0000 0.0000 0.2515
Se 0.0000 0.0000 0.5472
Se 0.0000 0.0000 0.6419
Se 0.3333 0.6667 0.0471
Se 0.3333 0.6667 0.9529
S 0.3333 0.6667 0.3551
S 0.3333 0.6667 0.4409


[4]
MoW3Se4S4: simulated powder X-ray diffraction pattern (a wavelength of 1.5418 Å), based on a cell relaxed with PBE.
Neutral-atom scattering factors, no anomalous dispersion.

Largest 10 diffraction maxima, low angle first, 10° ≤ 2θ ≤ 90°:
2θ (°)	d/Å	Rel. int.
12.3	7.188	100
31.8	2.818	23
32.4	2.765	9
34.2	2.623	14
37.0	2.429	54
45.0	2.012	40
56.6	1.627	15
58.1	1.587	12
75.1	1.265	9
79.5	1.206	10

Cell and atoms:
abc: 3.2534 3.2534 28.7533
angles: 90.00 90.00 120.00
Fractional positions:
Mo 0.0000 0.0000 0.0000
W 0.0000 0.0000 0.5031
W 0.6667 0.3333 0.2548
W 0.6667 0.3333 0.7509
Se 0.6667 0.3333 0.0591
Se 0.6667 0.3333 0.4437
Se 0.6667 0.3333 0.5626
Se 0.6667 0.3333 0.9409
S 0.0000 0.0000 0.2009
S 0.0000 0.0000 0.3088
S 0.0000 0.0000 0.6970
S 0.0000 0.0000 0.8048


[5]
Mo2WSe4S2: simulated powder X-ray diffraction pattern (a wavelength of 1.5418 Å), based on a cell relaxed with PBE.
Neutral-atom scattering factors, no anomalous dispersion.

Largest 10 diffraction maxima, low angle first, 10° ≤ 2θ ≤ 90°:
2θ (°)	d/Å	Rel. int.
12.0	7.398	100
15.0	5.918	15
31.5	2.837	31
33.8	2.649	12
36.5	2.459	50
38.2	2.356	28
44.2	2.048	38
46.5	1.952	23
56.2	1.637	22
80.5	1.193	11

Cell and atoms:
abc: 3.2755 3.2755 29.5915
angles: 90.00 90.00 120.00
Fractional positions:
Mo 0.0000 0.0000 0.2392
Mo 0.0000 0.0000 0.7608
W 0.6667 0.3333 0.0000
Se 0.6667 0.3333 0.1820
Se 0.6667 0.3333 0.2963
Se 0.6667 0.3333 0.7037
Se 0.6667 0.3333 0.8180
S 0.0000 0.0000 0.0522
S 0.0000 0.0000 0.9478


[6]
MoWSe3S: simulated powder X-ray diffraction pattern (a wavelength of 1.5418 Å), based on a cell relaxed with PBE.
Neutral-atom scattering factors, no anomalous dispersion.

Largest 10 diffraction maxima, low angle first, 10° ≤ 2θ ≤ 90°:
2θ (°)	d/Å	Rel. int.
11.9	7.455	100
14.3	6.213	15
31.4	2.848	30
33.7	2.661	13
35.7	2.512	11
37.0	2.431	60
41.4	2.181	12
44.8	2.021	44
55.9	1.645	22
79.4	1.206	12

Cell and atoms:
abc: 3.2899 3.2899 37.2758
angles: 90.00 90.00 120.00
Fractional positions:
Mo 0.0000 0.0000 0.0000
Mo 0.3333 0.6667 0.1896
W 0.0000 0.0000 0.3771
W 0.3333 0.6667 0.5728
Se 0.0000 0.0000 0.5273
Se 0.0000 0.0000 0.6183
Se 0.3333 0.6667 0.0452
Se 0.3333 0.6667 0.3316
Se 0.3333 0.6667 0.4225
Se 0.3333 0.6667 0.9548
S 0.0000 0.0000 0.1485
S 0.0000 0.0000 0.2308


[7]
MoW3Se6S2: simulated powder X-ray diffraction pattern (a wavelength of 1.5418 Å), based on a cell relaxed with PBE.
Neutral-atom scattering factors, no anomalous dispersion.

Largest 10 diffraction maxima, low angle first, 10° ≤ 2θ ≤ 90°:
2θ (°)	d/Å	Rel. int.
11.0	8.048	100
13.8	6.438	32
31.4	2.847	31
33.4	2.684	15
34.4	2.604	12
37.1	2.421	63
44.4	2.041	54
51.1	1.789	12
55.9	1.644	26
79.1	1.210	15

Cell and atoms:
abc: 3.2879 3.2879 32.1907
angles: 90.00 90.00 120.00
Fractional positions:
Mo 0.0000 0.0000 0.0000
W 0.0000 0.0000 0.4443
W 0.6667 0.3333 0.2206
W 0.6667 0.3333 0.7738
Se 0.0000 0.0000 0.7211
Se 0.0000 0.0000 0.8265
Se 0.6667 0.3333 0.0524
Se 0.6667 0.3333 0.3916
Se 0.6667 0.3333 0.4969
Se 0.6667 0.3333 0.9476
S 0.0000 0.0000 0.1728
S 0.0000 0.0000 0.2684


[8]
MoW3Se4S4: simulated powder X-ray diffraction pattern (a wavelength of 1.5418 Å), based on a cell relaxed with PBE.
Neutral-atom scattering factors, no anomalous dispersion.

Largest 10 diffraction maxima, low angle first, 10° ≤ 2θ ≤ 90°:
2θ (°)	d/Å	Rel. int.
11.9	7.409	100
31.7	2.819	18
32.3	2.769	8
34.0	2.635	13
36.7	2.448	43
42.2	2.142	9
44.3	2.043	32
56.5	1.627	14
58.0	1.590	11
74.5	1.273	7

Cell and atoms:
abc: 3.2552 3.2552 29.6377
angles: 90.00 90.00 120.00
Fractional positions:
Mo 0.0000 0.0000 0.0000
W 0.0000 0.0000 0.5174
W 0.6667 0.3333 0.2505
W 0.6667 0.3333 0.7606
Se 0.0000 0.0000 0.1928
Se 0.0000 0.0000 0.3081
Se 0.6667 0.3333 0.4598
Se 0.6667 0.3333 0.5751
S 0.0000 0.0000 0.7083
S 0.0000 0.0000 0.8129
S 0.6667 0.3333 0.0521
S 0.6667 0.3333 0.9479


[9]
Mo2WSe4S2: simulated powder X-ray diffraction pattern (a wavelength of 1.5418 Å), based on a cell relaxed with PBE.
Neutral-atom scattering factors, no anomalous dispersion.

Largest 10 diffraction maxima, low angle first, 10° ≤ 2θ ≤ 90°:
2θ (°)	d/Å	Rel. int.
12.6	7.007	100
31.5	2.839	31
32.2	2.782	15
34.1	2.631	22
37.1	2.426	75
40.9	2.206	29
45.5	1.994	52
56.1	1.639	22
57.8	1.596	12
80.2	1.197	15

Cell and atoms:
abc: 3.2779 3.2779 28.0278
angles: 90.00 90.00 120.00
Fractional positions:
Mo 0.0000 0.0000 0.0000
Mo 0.3333 0.6667 0.2500
W 0.0000 0.0000 0.5016
Se 0.3333 0.6667 0.0603
Se 0.3333 0.6667 0.4410
Se 0.3333 0.6667 0.5622
Se 0.3333 0.6667 0.9397
S 0.0000 0.0000 0.1951
S 0.0000 0.0000 0.3048


[10]
Ta2MoS6: simulated powder X-ray diffraction pattern (a wavelength of 1.5418 Å), based on a cell relaxed with PBE.
Neutral-atom scattering factors, no anomalous dispersion.

Largest 10 diffraction maxima, low angle first, 10° ≤ 2θ ≤ 90°:
2θ (°)	d/Å	Rel. int.
13.2	6.695	100
31.6	2.829	26
32.6	2.749	26
36.2	2.484	29
38.7	2.329	28
44.8	2.025	20
48.2	1.886	15
55.7	1.650	13
57.5	1.602	14
82.0	1.175	8

Cell and atoms:
abc: 5.7156 5.7156 6.9623
angles: 97.88 97.88 120.00
Fractional positions:
Ta 0.1666 0.8334 0.0000
Ta 0.8334 0.1666 0.0000
Mo 0.5001 0.5001 0.9999
S 0.0940 0.0940 0.7674
S 0.2494 0.2494 0.2324
S 0.4222 0.7507 0.7674
S 0.5776 0.9061 0.2324
S 0.7507 0.4222 0.7674
S 0.9061 0.5776 0.2324


[11]
Ta4MoS8: simulated powder X-ray diffraction pattern (a wavelength of 1.5418 Å), based on a cell relaxed with PBE.
Neutral-atom scattering factors, no anomalous dispersion.

Largest 10 diffraction maxima, low angle first, 10° ≤ 2θ ≤ 90°:
2θ (°)	d/Å	Rel. int.
13.3	6.675	100
26.7	3.337	14
31.1	2.877	46
33.9	2.642	57
41.4	2.179	78
52.0	1.760	19
55.3	1.661	22
57.2	1.612	15
71.4	1.321	16
81.8	1.177	12

Cell and atoms:
abc: 3.3217 3.3217 26.6983
angles: 90.00 90.00 120.00
Fractional positions:
Ta 0.0000 0.0000 0.1200
Ta 0.0000 0.0000 0.3753
Ta 0.0000 0.0000 0.6247
Ta 0.0000 0.0000 0.8800
Mo 0.0000 0.0000 0.0000
S 0.3333 0.6667 0.3164
S 0.3333 0.6667 0.4339
S 0.3333 0.6667 0.8212
S 0.3333 0.6667 0.9396
S 0.6667 0.3333 0.0604
S 0.6667 0.3333 0.1788
S 0.6667 0.3333 0.5661
S 0.6667 0.3333 0.6836